Starting from DFT lattice parameters and positions (GGA-PBE), the XRD peak list of AcHgPbAu was simulated for Cu Kα (λ = 1.5418 Å).
Neutral-atom scattering factors, no anomalous dispersion.

Structural model:
Cell lengths 7.6385, 7.6385, 7.6385 Å; angles 90.00, 90.00, 90.00 degrees
Space group F-43m (No. 216)
Inequivalent atoms, fractional coordinates:
Ac1 0.0000 0.0000 0.0000 x4
Hg1 0.2500 0.2500 0.7500 x4
Pb1 0.0000 0.0000 0.5000 x4
Au1 0.2500 0.2500 0.2500 x4

Most intense lines, 2θ = 10–90°, low angle first:
d_spacing	two_theta	Rel. int.
2.701	33.17	100
1.910	47.62	19
1.559	59.27	39
1.350	69.63	12
1.208	79.33	17
1.103	88.73	5

=====

Starting from DFT lattice parameters and positions (GGA-PBE), the XRD peak list of AcTl2Hg7Au2 was simulated for Cu Kα (λ = 1.5418 Å).
Neutral-atom scattering factors, no anomalous dispersion.

Structural model:
Cell lengths 6.5186, 6.5136, 16.1967 Å; angles 90.00, 101.23, 90.00 degrees
Space group C2/m (No. 12)
Inequivalent atoms, fractional coordinates:
Ac1 0.0000 0.0000 0.0000 x2
Tl1 0.1613 0.0000 0.3347 x4
Hg1 0.0000 0.5000 0.0000 x2
Hg2 0.1700 0.2508 0.8347 x8
Hg3 0.2312 0.5000 0.4681 x4
Au1 0.1419 0.5000 0.2896 x4

Most intense lines, 2θ = 10–90°, low angle first:
d_spacing	two_theta	Rel. int.
3.258	27.37	28
3.191	27.96	36
2.784	32.15	34
2.772	32.30	100
2.648	33.85	36
2.518	35.65	27
2.304	39.10	96
1.742	52.53	21
1.734	52.80	22
1.629	56.49	34

=====

Starting from DFT lattice parameters and positions (GGA-PBE), the XRD peak list of AcZnHgAu was simulated for Cu Kα (λ = 1.5418 Å).
Neutral-atom scattering factors, no anomalous dispersion.

Structural model:
Cell lengths 7.4082, 7.4082, 7.4082 Å; angles 90.00, 90.00, 90.00 degrees
Space group F-43m (No. 216)
Inequivalent atoms, fractional coordinates:
Ac1 0.0000 0.0000 0.0000 x4
Zn1 0.0000 0.0000 0.5000 x4
Hg1 0.2500 0.2500 0.2500 x4
Au1 0.2500 0.2500 0.7500 x4

Most intense lines, 2θ = 10–90°, low angle first:
d_spacing	two_theta	Rel. int.
4.277	20.77	10
3.704	24.03	3
2.619	34.24	100
2.234	40.38	6
1.852	49.20	18
1.700	53.95	3
1.512	61.30	38
1.310	72.13	12
1.252	76.00	2
1.171	82.32	17

=====

Starting from DFT lattice parameters and positions (GGA-PBE), the XRD peak list of Ac4HoAu5 was simulated for Cu Kα (λ = 1.5418 Å).
Neutral-atom scattering factors, no anomalous dispersion.

Structural model:
Cell lengths 3.8251, 3.8251, 19.4282 Å; angles 90.00, 90.00, 90.00 degrees
Space group P4/mmm (No. 123)
Inequivalent atoms, fractional coordinates:
Ac1 0.0000 0.0000 0.1031 x2
Ac2 0.0000 0.0000 0.3092 x2
Ho1 0.0000 0.0000 0.5000 x1
Au1 0.5000 0.5000 0.0000 x1
Au2 0.5000 0.5000 0.2061 x2
Au3 0.5000 0.5000 0.4187 x2

Most intense lines, 2θ = 10–90°, low angle first:
d_spacing	two_theta	Rel. int.
2.726	32.86	100
2.705	33.12	54
1.943	46.76	7
1.913	47.54	20
1.578	58.49	15
1.566	59.00	39
1.363	68.89	9
1.352	69.51	7
1.211	79.04	8
1.210	79.19	9

=====

Starting from DFT lattice parameters and positions (GGA-PBE), the XRD peak list of AcHo3Au2 was simulated for Cu Kα (λ = 1.5418 Å).
Neutral-atom scattering factors, no anomalous dispersion.

Structural model:
Cell lengths 4.9997, 9.0904, 7.4369 Å; angles 90.00, 90.00, 90.00 degrees
Space group Pmc2_1 (No. 26)
Inequivalent atoms, fractional coordinates:
Ac1 0.0000 0.0772 0.0000 x2
Ho1 0.0000 0.3376 0.6321 x2
Ho2 0.5000 0.1828 0.3403 x2
Ho3 0.5000 0.4300 0.9686 x2
Au1 0.0000 0.3594 0.2454 x2
Au2 0.5000 0.1628 0.7304 x2

Most intense lines, 2θ = 10–90°, low angle first:
d_spacing	two_theta	Rel. int.
3.064	29.14	80
2.984	29.95	20
2.878	31.07	23
2.835	31.56	100
2.806	31.89	21
2.591	34.61	62
2.500	35.93	63
2.176	41.49	21
1.588	58.07	21
1.408	66.41	25

=====

Starting from DFT lattice parameters and positions (GGA-PBE), the XRD peak list of Ac2AuI4 was simulated for Cu Kα (λ = 1.5418 Å).
Neutral-atom scattering factors, no anomalous dispersion.

Structural model:
Cell lengths 11.1975, 11.1975, 4.3425 Å; angles 90.00, 90.00, 90.00 degrees
Space group P4_2/mnm (No. 136)
Inequivalent atoms, fractional coordinates:
Ac1 0.1634 0.1634 0.0000 x4
Au1 0.0000 0.0000 0.5000 x2
I1 0.0964 0.6739 0.0000 x8

Most intense lines, 2θ = 10–90°, low angle first:
d_spacing	two_theta	Rel. int.
5.008	17.71	36
3.281	27.18	100
2.926	30.56	92
2.831	31.61	32
2.716	32.98	49
2.504	35.86	18
2.170	41.62	49
1.991	45.56	19
1.696	54.08	32
1.558	59.31	47

=====

Starting from DFT lattice parameters and positions (GGA-PBE), the XRD peak list of Ac2In6Au was simulated for Cu Kα (λ = 1.5418 Å).
Neutral-atom scattering factors, no anomalous dispersion.

Structural model:
Cell lengths 3.9904, 4.9305, 27.0941 Å; angles 90.00, 90.00, 90.00 degrees
Space group Amm2 (No. 38)
Inequivalent atoms, fractional coordinates:
Ac1 0.0000 0.0000 0.0000 x2
Ac2 0.0000 0.0000 0.3276 x2
In1 0.0000 0.0000 0.6245 x2
In2 0.0000 0.0000 0.7356 x2
In3 0.5000 0.0000 0.1088 x2
In4 0.5000 0.0000 0.2165 x2
In5 0.5000 0.0000 0.4401 x2
In6 0.5000 0.0000 0.8803 x2
Au1 0.5000 0.0000 0.5448 x2

Most intense lines, 2θ = 10–90°, low angle first:
d_spacing	two_theta	Rel. int.
2.990	29.88	25
2.934	30.47	100
2.569	34.92	39
2.465	36.45	32
2.421	37.14	21
1.995	45.46	19
1.902	47.82	14
1.576	58.58	17
1.551	59.61	15
1.499	61.92	13

=====

Starting from DFT lattice parameters and positions (GGA-PBE), the XRD peak list of Ac2In12Au was simulated for Cu Kα (λ = 1.5418 Å).
Neutral-atom scattering factors, no anomalous dispersion.

Structural model:
Cell lengths 6.9555, 6.9555, 17.4727 Å; angles 90.00, 90.00, 90.00 degrees
Space group P4/nbm (No. 125, origin choice 2)
Inequivalent atoms, fractional coordinates:
Ac1 0.2500 0.7500 0.2464 x4
In1 0.0004 0.9996 0.0873 x8
In2 0.0843 0.5843 0.4302 x8
In3 0.2500 0.2500 0.1839 x4
In4 0.2500 0.2500 0.3438 x4
Au1 0.2500 0.7500 0.0000 x2

Most intense lines, 2θ = 10–90°, low angle first:
d_spacing	two_theta	Rel. int.
3.266	27.31	71
3.231	27.61	78
2.744	32.64	16
2.721	32.92	40
2.506	35.84	30
2.461	36.52	100
2.233	40.40	27
1.965	46.21	41
1.739	52.64	16
1.550	59.66	32

=====

Starting from DFT lattice parameters and positions (GGA-PBE), the XRD peak list of AcIn3Au8 was simulated for Cu Kα (λ = 1.5418 Å).
Neutral-atom scattering factors, no anomalous dispersion.

Structural model:
Cell lengths 5.6615, 5.6615, 28.3405 Å; angles 90.00, 90.00, 120.00 degrees
Space group R3m (No. 160, hexagonal axes)
Inequivalent atoms, fractional coordinates:
Ac1 0.0000 0.0000 0.0000 x3
In1 0.0000 0.0000 0.3884 x3
In2 0.0000 0.0000 0.5061 x3
In3 0.0000 0.0000 0.8724 x3
Au1 0.0000 0.0000 0.1873 x3
Au2 0.0000 0.0000 0.6879 x3
Au3 0.0009 0.5005 0.9367 x9
Au4 0.0016 0.5008 0.4384 x9

Most intense lines, 2θ = 10–90°, low angle first:
d_spacing	two_theta	Rel. int.
4.634	19.15	28
2.454	36.62	53
2.428	37.02	100
2.416	37.22	52
2.362	38.10	28
2.317	38.87	82
1.551	59.61	26
1.545	59.89	25
1.436	64.95	30
1.415	66.00	32

=====

Starting from DFT lattice parameters and positions (GGA-PBE), the XRD peak list of AcInAu6 was simulated for Cu Kα (λ = 1.5418 Å).
Neutral-atom scattering factors, no anomalous dispersion.

Structural model:
Cell lengths 5.6222, 5.6222, 5.6222 Å; angles 90.00, 90.00, 90.00 degrees
Space group Pm-3 (No. 200)
Inequivalent atoms, fractional coordinates:
Ac1 0.0000 0.0000 0.0000 x1
In1 0.5000 0.5000 0.5000 x1
Au1 0.0000 0.2557 0.5000 x6

Most intense lines, 2θ = 10–90°, low angle first:
d_spacing	two_theta	Rel. int.
2.811	31.83	29
2.514	35.71	100
2.295	39.25	65
1.623	56.72	10
1.559	59.26	24
1.503	61.74	35
1.406	66.53	15
1.257	75.65	10
1.227	77.86	22
1.199	80.06	9

=====

Starting from DFT lattice parameters and positions (GGA-PBE), the XRD peak list of Ac2In2Au3 was simulated for Cu Kα (λ = 1.5418 Å).
Neutral-atom scattering factors, no anomalous dispersion.

Structural model:
Cell lengths 4.4938, 21.0334, 7.9918 Å; angles 90.00, 90.00, 90.00 degrees
Space group Cmcm (No. 63)
Inequivalent atoms, fractional coordinates:
Ac1 0.0000 0.0570 0.2500 x4
Ac2 0.0000 0.1482 0.7500 x4
In1 0.0000 0.3088 0.5565 x8
Au1 0.0000 0.2280 0.2500 x4
Au2 0.0000 0.4391 0.0632 x8

Most intense lines, 2θ = 10–90°, low angle first:
d_spacing	two_theta	Rel. int.
3.210	27.79	21
2.956	30.23	90
2.867	31.20	100
2.376	37.86	34
2.247	40.13	36
2.178	41.46	20
2.119	42.66	30
1.841	49.52	18
1.633	56.35	22
1.418	65.88	21

=====

Starting from DFT lattice parameters and positions (GGA-PBE), the XRD peak list of AcIn2Au9 was simulated for Cu Kα (λ = 1.5418 Å).
Neutral-atom scattering factors, no anomalous dispersion.

Structural model:
Cell lengths 5.6785, 5.6785, 27.7698 Å; angles 90.00, 90.00, 120.00 degrees
Space group R-3m (No. 166, hexagonal axes)
Inequivalent atoms, fractional coordinates:
Ac1 0.0000 0.0000 0.0000 x3
In1 0.0000 0.0000 0.1460 x6
Au1 0.0000 0.0000 0.3331 x6
Au2 0.0000 0.0000 0.5000 x3
Au3 0.0033 0.5016 0.9150 x18

Most intense lines, 2θ = 10–90°, low angle first:
d_spacing	two_theta	Rel. int.
4.842	18.32	17
2.838	31.52	24
2.449	36.69	23
2.420	37.15	100
2.315	38.90	34
2.248	40.12	39
2.090	43.29	15
1.545	59.87	27
1.419	65.79	24
1.210	79.15	22

=====

Starting from DFT lattice parameters and positions (GGA-PBE), the XRD peak list of Ac10In3Au3 was simulated for Cu Kα (λ = 1.5418 Å).
Neutral-atom scattering factors, no anomalous dispersion.

Structural model:
Cell lengths 9.5116, 9.5116, 7.4557 Å; angles 90.00, 90.00, 120.00 degrees
Space group P-62m (No. 189)
Inequivalent atoms, fractional coordinates:
Ac1 0.0000 0.2482 0.0000 x3
Ac2 0.0000 0.7621 0.5000 x3
Ac3 0.3333 0.6667 0.2456 x4
In1 0.0000 0.4083 0.5000 x3
Au1 0.0000 0.6038 0.0000 x3

Most intense lines, 2θ = 10–90°, low angle first:
d_spacing	two_theta	Rel. int.
3.728	23.87	18
3.396	26.24	23
3.113	28.67	34
2.934	30.47	87
2.873	31.13	100
2.746	32.61	37
2.005	45.23	20
1.942	46.77	33
1.803	50.64	18
1.507	61.54	17